Record 1
Rb2AgSbBr6: computed powder XRD pattern (Cu Ka), based on a cell relaxed with GGA-PBE.

Most intense lines, 2θ from 5° to 70°, by angle:
2θ/deg	d (Å)	I_rel
15.77	5.619	35
22.38	3.973	35
27.50	3.244	46
31.85	2.809	100
35.73	2.513	18
39.28	2.294	16
45.67	1.986	72
54.14	1.694	20
56.76	1.622	25
66.58	1.405	11

Crystal structure
abc: 7.946 7.946 7.946
angles: 60.00 60.00 60.00
Sites, in units of the cell vectors:
1 Rb 0.250 0.250 0.250
2 Rb 0.750 0.750 0.750
3 Ag 0.000 0.000 0.000
4 Sb 0.500 0.500 0.500
5 Br 0.250 0.250 0.750
6 Br 0.250 0.750 0.250
7 Br 0.250 0.750 0.750
8 Br 0.750 0.250 0.250
9 Br 0.750 0.250 0.750
10 Br 0.750 0.750 0.250



Record 2
Rb2TcAgBr6: computed powder XRD pattern (Cu Ka), based on a cell relaxed with GGA-PBE.

Most intense lines, 2θ from 5° to 70°, by angle:
2θ/deg	d (Å)	I_rel
16.39	5.409	32
23.26	3.825	33
28.58	3.123	52
33.12	2.704	100
37.17	2.419	15
40.87	2.208	14
47.55	1.912	69
56.42	1.631	21
59.17	1.561	23
69.52	1.352	11

Crystal structure
abc: 7.649 7.649 7.649
angles: 60.00 60.00 60.00
Sites, in units of the cell vectors:
1 Rb 0.250 0.250 0.250
2 Rb 0.750 0.750 0.750
3 Tc 0.000 0.000 0.000
4 Ag 0.500 0.500 0.500
5 Br 0.239 0.239 0.761
6 Br 0.239 0.761 0.239
7 Br 0.239 0.761 0.761
8 Br 0.761 0.239 0.239
9 Br 0.761 0.239 0.761
10 Br 0.761 0.761 0.239